Starting from a crystal structure in Alexandria, relaxed with GGA+U, the X-ray powder pattern of K3Sm2CoO6 was computed for copper Kα.
No peak broadening, texture or thermal motion is included.

Main lines, low angle first (2θ = 15–90°):
two_theta	I_rel	(hkl)
28.55	50.0	0 0 2
30.58	23.6	1 3 0
31.36	34.6	2 0 0
31.71	66.4	1 3 -1
35.57	53.1	2 0 -2
35.88	100.0	1 3 1
49.60	33.6	1 3 -3
53.19	31.1	3 3 -1

Cell and atoms:
```
data_K3Sm2CoO6
_symmetry_space_group_name_H-M 'C 1 2/m 1'
_symmetry_Int_Tables_number 12
_cell_length_a 5.989
_cell_length_b 10.211
_cell_length_c 6.564
_cell_angle_alpha 90.00
_cell_angle_beta 107.70
_cell_angle_gamma 90.00
loop_
_symmetry_equiv_pos_as_xyz
'x,y,z'
'-x,-y,-z'
'-x,y,-z'
'x,-y,z'
'x+1/2,y+1/2,z'
'-x+1/2,-y+1/2,-z'
'-x+1/2,y+1/2,-z'
'x+1/2,-y+1/2,z'
loop_
_atom_site_label
_atom_site_type_symbol
_atom_site_fract_x
_atom_site_fract_y
_atom_site_fract_z
K1 K 0.000 0.000 0.000
K2 K 0.000 0.340 0.000
Sm1 Sm 0.000 0.166 0.500
Co1 Co 0.000 0.500 0.500
O1 O 0.212 0.351 0.681
O2 O 0.241 0.000 0.694
```